# 1
Starting from a structure optimized by DFT (PBE), the X-ray powder pattern of PmTa3 was computed for Cu Kα (λ = 1.5418 Å).

Structural model:
Unit cell a=6.9073 b=6.9073 c=6.9073 alpha=90.00 beta=90.00 gamma=90.00
Space group Fm-3m (No. 225)
Symmetry-distinct sites (fractional):
Pm: 0.0000 0.0000 0.0000 (multiplicity 4)
Ta: 0.0000 0.0000 0.5000 (multiplicity 4)
Ta: 0.2500 0.2500 0.2500 (multiplicity 8)

Largest 4 diffraction maxima, sorted by position, 2θ = 10–80°:
Position (°2θ)	intensity	index
36.8	100	2 2 0
53.0	18	4 0 0
66.3	36	4 2 2
78.3	11	4 4 0

# 2
Starting from a structure optimized by DFT (PBE), the X-ray powder pattern of Pu3CdSe6 was computed for Cu Kα (λ = 1.5418 Å).

Structural model:
Unit cell a=11.1975 b=13.7963 c=6.9516 alpha=90.00 beta=90.00 gamma=90.00
Space group Cmc2_1 (No. 36)
Symmetry-distinct sites (fractional):
Pu: 0.0000 0.1003 0.0000 (multiplicity 4)
Pu: 0.1815 0.4003 0.0901 (multiplicity 8)
Cd: 0.0000 0.2985 0.6278 (multiplicity 4)
Se: 0.0000 0.2749 0.2536 (multiplicity 4)
Se: 0.0000 0.4732 0.8079 (multiplicity 4)
Se: 0.1618 0.0336 0.2929 (multiplicity 8)
Se: 0.1821 0.2268 0.8358 (multiplicity 8)

Largest 10 diffraction maxima, sorted by position, 2θ = 10–80°:
Position (°2θ)	intensity	index
16.3	31	1 1 1
24.1	100	2 2 1
24.5	60	1 3 1
33.5	40	3 3 1
35.9	66	3 1 2
36.7	39	0 4 2
40.7	54	3 5 0
47.0	22	5 3 1
48.7	21	1 7 1
48.8	25	6 0 0

# 3
Starting from a structure optimized by DFT (PBE), the X-ray powder pattern of Ce6TlPb2 was computed for Cu Kα (λ = 1.5418 Å).

Structural model:
Unit cell a=3.2772 b=9.5251 c=15.9265 alpha=90.00 beta=90.00 gamma=90.00
Space group Immm (No. 71)
Symmetry-distinct sites (fractional):
Ce: 0.0000 0.1742 0.0000 (multiplicity 4)
Ce: 0.0000 0.3157 0.1539 (multiplicity 8)
Tl: 0.0000 0.0000 0.5000 (multiplicity 2)
Pb: 0.0000 0.5000 0.3368 (multiplicity 4)

Largest 10 diffraction maxima, sorted by position, 2θ = 10–80°:
Position (°2θ)	intensity	index
31.0	40	1 1 2
32.9	95	0 3 3
33.7	100	0 0 6
36.8	39	1 1 4
44.0	14	1 2 5
52.6	25	1 2 7
59.8	16	0 3 9
60.9	17	1 5 4
66.6	25	2 3 3
67.1	12	2 0 6

# 4
Starting from a structure optimized by DFT (PBE), the X-ray powder pattern of Ca2Zn5Pd3 was computed for Cu Kα (λ = 1.5418 Å).

Structural model:
Unit cell a=10.1412 b=13.2334 c=5.6452 alpha=90.00 beta=90.00 gamma=90.00
Space group Ibam (No. 72)
Symmetry-distinct sites (fractional):
Ca: 0.2180 0.1501 0.0000 (multiplicity 8)
Zn: 0.0000 0.0000 0.2500 (multiplicity 4)
Zn: 0.0000 0.3040 0.2500 (multiplicity 8)
Zn: 0.1837 0.4180 0.0000 (multiplicity 8)
Pd: 0.0000 0.5000 0.2500 (multiplicity 4)
Pd: 0.0845 0.1536 0.5000 (multiplicity 8)

Largest 10 diffraction maxima, sorted by position, 2θ = 10–80°:
Position (°2θ)	intensity	index
17.5	100	2 0 0
22.5	63	1 2 1
32.3	40	2 4 0
33.7	93	3 2 1
36.4	76	2 0 2
38.9	81	1 3 2
39.6	58	4 1 1
41.4	34	3 4 1
42.1	85	0 4 2
44.8	38	2 6 0

# 5
Starting from a structure optimized by DFT (PBE), the X-ray powder pattern of Rb3HgAu2I6 was computed for Cu Kα (λ = 1.5418 Å).

Structural model:
Unit cell a=9.1121 b=9.1121 c=9.2487 alpha=90.00 beta=90.00 gamma=120.00
Space group P-3m1 (No. 164)
Symmetry-distinct sites (fractional):
Rb: 0.0000 0.0000 0.0000 (multiplicity 1)
Rb: 0.3333 0.6667 0.6328 (multiplicity 2)
Hg: 0.0000 0.0000 0.5000 (multiplicity 1)
Au: 0.3333 0.6667 0.2549 (multiplicity 2)
I: 0.1624 0.3248 0.2871 (multiplicity 6)

Largest 10 diffraction maxima, sorted by position, 2θ = 10–80°:
Position (°2θ)	intensity	index
14.8	100	1 0 1
19.2	32	0 0 2
19.5	51	1 1 0
22.3	27	0 1 2
24.5	28	0 2 1
29.8	88	2 0 2
31.1	32	0 1 3
31.5	39	2 1 1
39.6	60	2 2 0
42.2	32	1 2 3

# 6
Starting from a structure optimized by DFT (PBE), the X-ray powder pattern of LiSi was computed for Cu Kα (λ = 1.5418 Å).

Structural model:
Unit cell a=6.2026 b=6.2026 c=6.2026 alpha=90.00 beta=90.00 gamma=90.00
Space group Fd-3m (No. 227, origin choice 2)
Symmetry-distinct sites (fractional):
Li: 0.1250 0.1250 0.1250 (multiplicity 8)
Si: 0.1250 0.1250 0.6250 (multiplicity 8)

Largest 6 diffraction maxima, sorted by position, 2θ = 10–80°:
Position (°2θ)	intensity	index
24.9	69	1 1 1
41.2	100	2 2 0
48.7	29	3 1 1
59.6	16	4 0 0
65.6	12	3 3 1
75.0	33	4 2 2

# 7
Starting from a structure optimized by DFT (PBE), the X-ray powder pattern of V4GaRh was computed for Cu Kα (λ = 1.5418 Å).

Structural model:
Unit cell a=4.3227 b=8.7436 c=4.3907 alpha=90.00 beta=90.00 gamma=90.00
Space group Cmmm (No. 65)
Symmetry-distinct sites (fractional):
V: 0.0000 0.1728 0.0000 (multiplicity 4)
V: 0.0000 0.3207 0.5000 (multiplicity 4)
Ga: 0.0000 0.0000 0.5000 (multiplicity 2)
Rh: 0.0000 0.5000 0.0000 (multiplicity 2)

Largest 10 diffraction maxima, sorted by position, 2θ = 10–80°:
Position (°2θ)	intensity	index
30.8	14	1 1 1
41.1	29	0 0 2
41.8	27	2 0 0
42.7	100	1 3 1
60.1	17	2 0 2
63.9	7	0 6 0
76.0	16	1 3 3
76.9	16	3 3 1
78.8	7	0 6 2
79.3	7	2 6 0

# 8
Starting from a structure optimized by DFT (PBE), the X-ray powder pattern of YVZnSe2 was computed for Cu Kα (λ = 1.5418 Å).

Structural model:
Unit cell a=5.0000 b=5.0000 c=4.6554 alpha=90.00 beta=90.00 gamma=90.00
Space group P4/mmm (No. 123)
Symmetry-distinct sites (fractional):
Y: 0.0000 0.0000 0.0000 (multiplicity 1)
V: 0.5000 0.5000 0.0000 (multiplicity 1)
Zn: 0.5000 0.5000 0.5000 (multiplicity 1)
Se: 0.0000 0.5000 0.5000 (multiplicity 2)

Largest 10 diffraction maxima, sorted by position, 2θ = 10–80°:
Position (°2θ)	intensity	index
19.1	13	0 0 1
26.2	39	1 0 1
31.8	100	1 1 1
35.9	94	2 0 0
38.7	38	0 0 2
45.0	18	2 1 1
51.7	32	2 2 0
53.8	57	2 0 2
62.0	28	3 1 1
66.4	29	2 2 2

# 9
Starting from a structure optimized by DFT (PBE), the X-ray powder pattern of Tb2Nd5Sc was computed for Cu Kα (λ = 1.5418 Å).

Structural model:
Unit cell a=9.1778 b=9.1778 c=12.6243 alpha=90.00 beta=90.00 gamma=90.00
Space group I4/mcm (No. 140)
Symmetry-distinct sites (fractional):
Tb: 0.1437 0.3563 0.0000 (multiplicity 8)
Nd: 0.0000 0.0000 0.0000 (multiplicity 4)
Nd: 0.1518 0.3482 0.3344 (multiplicity 16)
Sc: 0.0000 0.0000 0.2500 (multiplicity 4)

Largest 10 diffraction maxima, sorted by position, 2θ = 10–80°:
Position (°2θ)	intensity	index
30.4	100	2 1 3
30.8	49	3 1 0
39.3	8	4 0 0
41.5	7	3 2 3
41.8	8	3 3 0
43.0	10	0 0 6
46.1	11	4 1 3
53.8	15	3 1 6
58.4	24	5 2 3
71.0	9	2 1 9

# 10
Starting from a structure optimized by DFT (PBE), the X-ray powder pattern of Ca8IrAu2 was computed for Cu Kα (λ = 1.5418 Å).

Structural model:
Unit cell a=8.6774 b=13.4348 c=6.5531 alpha=90.00 beta=113.78 gamma=90.00
Space group Cm (No. 8)
Symmetry-distinct sites (fractional):
Ca: 0.0000 0.0000 0.0000 (multiplicity 2)
Ca: 0.0541 0.3745 0.7642 (multiplicity 4)
Ca: 0.1256 0.1321 0.5351 (multiplicity 4)
Ca: 0.1824 0.5000 0.3721 (multiplicity 2)
Ca: 0.3252 0.1896 0.1534 (multiplicity 4)
Ir: 0.3353 0.0000 0.3899 (multiplicity 2)
Au: 0.3680 0.3131 0.7223 (multiplicity 4)

Largest 10 diffraction maxima, sorted by position, 2θ = 10–80°:
Position (°2θ)	intensity	index
14.8	69	0 0 1
15.9	74	1 1 -1
19.8	87	0 2 1
22.4	46	2 0 0
22.8	100	1 3 0
29.7	55	1 3 1
32.2	51	2 2 -2
32.7	46	0 2 2
36.5	51	1 5 -1
40.3	47	0 6 0